This entry pairs a crystal structure of RbRuF6 with its simulated X-ray powder pattern. Radiation: λ = 1.5418 Å (Cu Kα). Structure: a crystal structure in the Materials Project, relaxed with GGA-PBE.

Main lines, low angle first (5 to 70 degrees two-theta):
(hkl), 2θ (°), I/Imax
1 0 1, 17.2, 14.1
1 1 0, 22.5, 100.0
0 1 2, 26.2, 66.4
2 0 2, 34.8, 15.5
3 0 0, 39.5, 11.0
1 2 2, 41.8, 66.2
2 2 0, 45.9, 15.0
0 4 2, 58.9, 10.9
2 1 4, 59.2, 22.2
4 1 0, 62.1, 11.8

Structure:
```
data_RbRuF6
_cell_length_a 7.9108
_cell_length_b 7.9108
_cell_length_c 7.8215
_cell_angle_alpha 90.00
_cell_angle_beta 90.00
_cell_angle_gamma 120.00
_symmetry_space_group_name_H-M 'R -3 m'
_symmetry_Int_Tables_number 166
_symmetry_space_group_name_Hall '-R 3 2"'
loop_
_atom_site_label
_atom_site_fract_x
_atom_site_fract_y
_atom_site_fract_z
Rb1 0.0000 0.0000 0.0000
Ru1 0.0000 0.0000 0.5000
F1 0.1092 0.5546 0.3099
```